Calculated PXRD pattern
Compound: Y4ErAg5
Radiation: Cu Ka
Structure: a GGA-PBE-relaxed structure
Neutral-atom scattering factors, no anomalous dispersion.

Atomic structure:
```
Y4ErAg5
1.0
3.6070 0.0000 0.0000
0.0000 3.6070 0.0000
0.0000 0.0000 18.4774
Y Er Ag
4 1 5
Direct
0.0000 0.0000 0.1005
0.0000 0.0000 0.3015
0.0000 0.0000 0.6985
0.0000 0.0000 0.8995
0.0000 0.0000 0.5000
0.5000 0.5000 0.0000
0.5000 0.5000 0.2010
0.5000 0.5000 0.4031
0.5000 0.5000 0.5969
0.5000 0.5000 0.7990
```

Largest 6 diffraction maxima, by angle, 2θ from 15° to 90°:
2theta  Rel. int.
34.8  100
35.2  48
50.6  17
62.0  17
62.9  34
73.4  11

***

Calculated PXRD pattern
Compound: Er3Zn2Ag2
Radiation: Cu Ka
Structure: a GGA-PBE-relaxed structure
Neutral-atom scattering factors, no anomalous dispersion.

Atomic structure:
```
Er3Zn2Ag2
1.0
1.9990 -10.9646 0.0000
1.9990 10.9646 0.0000
0.0000 0.0000 3.5425
Er Zn Ag
3 2 2
Direct
0.0000 0.0000 0.0000
0.1585 0.8415 0.0000
0.8415 0.1585 0.0000
0.2821 0.7179 0.5000
0.7179 0.2821 0.5000
0.4193 0.5807 0.5000
0.5807 0.4193 0.5000
```

Largest 6 diffraction maxima, by angle, 2θ from 15° to 90°:
2theta  Rel. int.
34.1  100
35.3  80
36.4  76
58.7  36
64.8  27
65.6  26

***

Calculated PXRD pattern
Compound: Er6ZnAg3
Radiation: Cu Ka
Structure: a GGA-PBE-relaxed structure
Neutral-atom scattering factors, no anomalous dispersion.

Atomic structure:
```
Er6ZnAg3
1.0
8.8939 0.0000 0.0000
0.0000 5.0668 0.0000
-3.3632 0.0000 10.9893
Er Zn Ag
12 2 6
Direct
0.9997 0.2500 0.1090
0.0003 0.7500 0.8910
0.1655 0.2500 0.6955
0.2453 0.7500 0.5130
0.3593 0.7500 0.1238
0.3606 0.2500 0.3415
0.3886 0.7500 0.8465
0.6114 0.2500 0.1535
0.6394 0.7500 0.6585
0.6407 0.2500 0.8762
0.7547 0.2500 0.4870
0.8345 0.7500 0.3045
0.4499 0.2500 0.6168
0.5501 0.7500 0.3832
0.0340 0.2500 0.3814
0.1291 0.7500 0.2471
0.2728 0.2500 0.9718
0.7272 0.7500 0.0282
0.8709 0.2500 0.7529
0.9660 0.7500 0.6186
```

Largest 6 diffraction maxima, by angle, 2θ from 15° to 90°:
2theta  Rel. int.
30.1  22
33.2  33
34.3  100
35.1  78
35.4  65
49.4  23

***

Calculated PXRD pattern
Compound: ErZn3Ag2
Radiation: Cu Ka
Structure: a GGA-PBE-relaxed structure
Neutral-atom scattering factors, no anomalous dispersion.

Atomic structure:
```
ErZn3Ag2
1.0
4.4877 0.0000 0.0000
-2.2439 3.8865 0.0000
0.0000 0.0000 12.5578
Er Zn Ag
2 6 4
Direct
0.0000 0.0000 0.2500
0.0000 0.0000 0.7500
0.0000 0.0000 0.0000
0.0000 0.0000 0.5000
0.3333 0.6667 0.1371
0.3333 0.6667 0.3629
0.6667 0.3333 0.6371
0.6667 0.3333 0.8629
0.3333 0.6667 0.5831
0.3333 0.6667 0.9169
0.6667 0.3333 0.0831
0.6667 0.3333 0.4169
```

Largest 6 diffraction maxima, by angle, 2θ from 15° to 90°:
2theta  Rel. int.
27.0  31
36.8  91
40.2  100
42.9  20
55.6  27
70.8  26

***

Calculated PXRD pattern
Compound: Er3Zn6Ag5
Radiation: Cu Ka
Structure: a GGA-PBE-relaxed structure
Neutral-atom scattering factors, no anomalous dispersion.

Atomic structure:
```
Er3Zn6Ag5
1.0
-2.2088 4.6850 6.4905
2.2088 -4.6850 6.4905
2.2088 4.6850 -6.4905
Er Zn Ag
3 6 5
Direct
0.0000 0.0000 0.0000
0.2960 0.2960 0.0000
0.7040 0.7040 0.0000
0.1560 0.8690 0.2870
0.3210 0.5000 0.8210
0.4180 0.1310 0.2870
0.5820 0.8690 0.7130
0.6790 0.5000 0.1790
0.8440 0.1310 0.7130
0.0167 0.6631 0.3537
0.3094 0.6631 0.6463
0.5000 0.0000 0.5000
0.6906 0.3369 0.3537
0.9833 0.3369 0.6463
```

Largest 6 diffraction maxima, by angle, 2θ from 15° to 90°:
2theta  Rel. int.
28.9  62
34.8  100
35.2  70
35.4  50
37.9  52
40.9  72

***

Calculated PXRD pattern
Compound: Er8ZnAg2
Radiation: Cu Ka
Structure: a GGA-PBE-relaxed structure
Neutral-atom scattering factors, no anomalous dispersion.

Atomic structure:
```
Er8ZnAg2
1.0
8.7710 -2.5709 0.0000
8.7710 2.5709 0.0000
-2.0114 0.0000 6.5251
Er Zn Ag
8 1 2
Direct
0.0278 0.0278 0.2820
0.1969 0.1969 0.8099
0.3335 0.3335 0.5250
0.4068 0.4068 0.0438
0.5932 0.5932 0.9562
0.6665 0.6665 0.4750
0.8031 0.8031 0.1901
0.9722 0.9722 0.7180
0.5000 0.5000 0.5000
0.1835 0.1835 0.2181
0.8165 0.8165 0.7819
```

Largest 6 diffraction maxima, by angle, 2θ from 15° to 90°:
2theta  Rel. int.
29.6  65
31.4  81
31.6  80
31.9  66
34.3  73
34.9  100

***

Calculated PXRD pattern
Compound: ErZn3Ag9
Radiation: Cu Ka
Structure: a GGA-PBE-relaxed structure
Neutral-atom scattering factors, no anomalous dispersion.

Atomic structure:
```
ErZn3Ag9
1.0
2.6501 -6.6556 0.0000
2.6501 6.6556 0.0000
-2.3298 0.0000 6.6839
Er Zn Ag
1 3 9
Direct
0.0000 0.0000 0.0000
0.0000 0.5000 0.0000
0.5000 0.0000 0.0000
0.5000 0.5000 0.5000
0.0000 0.0000 0.5000
0.0220 0.6669 0.6584
0.3013 0.5167 0.7888
0.3331 0.9780 0.3416
0.4833 0.6987 0.2112
0.5167 0.3013 0.7888
0.6669 0.0220 0.6584
0.6987 0.4833 0.2112
0.9780 0.3331 0.3416
```

Largest 6 diffraction maxima, by angle, 2θ from 15° to 90°:
2theta  Rel. int.
33.6  52
37.6  56
38.2  100
38.3  72
38.4  49
39.6  53

***

Calculated PXRD pattern
Compound: EuGdAg
Radiation: Cu Ka
Structure: a GGA-PBE-relaxed structure
Neutral-atom scattering factors, no anomalous dispersion.

Atomic structure:
```
EuGdAg
1.0
-1.8635 1.8635 6.5138
1.8635 -1.8635 6.5138
1.8635 1.8635 -6.5138
Eu Gd Ag
1 1 1
Direct
0.0000 0.0000 0.0000
0.2808 0.2808 0.0000
0.6527 0.6527 0.0000
```

Largest 6 diffraction maxima, by angle, 2θ from 15° to 90°:
2theta  Rel. int.
31.6  100
34.0  50
42.3  12
48.9  18
54.8  11
59.4  32

***

Calculated PXRD pattern
Compound: LiEuGdAg
Radiation: Cu Ka
Structure: a GGA-PBE-relaxed structure
Neutral-atom scattering factors, no anomalous dispersion.

Atomic structure:
```
LiEuGdAg
1.0
0.0000 3.7621 3.7621
3.7621 0.0000 3.7621
3.7621 3.7621 0.0000
Li Eu Gd Ag
1 1 1 1
Direct
0.0000 0.0000 0.0000
0.2500 0.2500 0.2500
0.7500 0.7500 0.7500
0.5000 0.5000 0.5000
```

Largest 6 diffraction maxima, by angle, 2θ from 15° to 90°:
2theta  Rel. int.
20.4  15
23.6  24
33.7  100
48.4  18
60.3  37
80.8  16

***

Calculated PXRD pattern
Compound: EuScAgHg
Radiation: Cu Ka
Structure: a GGA-PBE-relaxed structure
Neutral-atom scattering factors, no anomalous dispersion.

Atomic structure:
```
EuScAgHg
1.0
0.0000 3.6644 3.6644
3.6644 0.0000 3.6644
3.6644 3.6644 0.0000
Eu Sc Ag Hg
1 1 1 1
Direct
0.0000 0.0000 0.0000
0.5000 0.5000 0.5000
0.2500 0.2500 0.2500
0.7500 0.7500 0.7500
```

Largest 6 diffraction maxima, by angle, 2θ from 15° to 90°:
2theta  Rel. int.
21.0  16
34.6  100
49.8  18
62.0  36
73.0  11
83.4  16

***

Calculated PXRD pattern
Compound: EuHoAgIr
Radiation: Cu Ka
Structure: a GGA-PBE-relaxed structure
Neutral-atom scattering factors, no anomalous dispersion.

Atomic structure:
```
EuHoAgIr
1.0
0.0000 3.5528 3.5528
3.5528 0.0000 3.5528
3.5528 3.5528 0.0000
Eu Ho Ag Ir
1 1 1 1
Direct
0.0000 0.0000 0.0000
0.5000 0.5000 0.5000
0.2500 0.2500 0.2500
0.7500 0.7500 0.7500
```

Largest 6 diffraction maxima, by angle, 2θ from 15° to 90°:
2theta  Rel. int.
21.7  3
35.7  100
51.4  18
64.2  36
75.7  11
86.7  16

***

Calculated PXRD pattern
Compound: LiEuAgPb
Radiation: Cu Ka
Structure: a GGA-PBE-relaxed structure
Neutral-atom scattering factors, no anomalous dispersion.

Atomic structure:
```
LiEuAgPb
1.0
0.0000 3.6051 3.6051
3.6051 0.0000 3.6051
3.6051 3.6051 0.0000
Li Eu Ag Pb
1 1 1 1
Direct
0.0000 0.0000 0.0000
0.2500 0.2500 0.2500
0.5000 0.5000 0.5000
0.7500 0.7500 0.7500
```

Largest 6 diffraction maxima, by angle, 2θ from 15° to 90°:
2theta  Rel. int.
21.3  15
24.7  31
35.2  100
50.6  18
63.2  36
85.1  16

***

Calculated PXRD pattern
Compound: EuMgAg
Radiation: Cu Ka
Structure: a GGA-PBE-relaxed structure
Neutral-atom scattering factors, no anomalous dispersion.

Atomic structure:
```
EuMgAg
1.0
4.9494 0.0000 0.0000
-2.4747 4.2863 0.0000
0.0000 0.0000 3.8120
Eu Mg Ag
1 1 1
Direct
0.0000 0.0000 0.0000
0.3333 0.6667 0.5000
0.6667 0.3333 0.5000
```

Largest 6 diffraction maxima, by angle, 2θ from 15° to 90°:
2theta  Rel. int.
20.7  31
31.4  100
36.3  52
48.7  29
61.4  22
62.3  27

***

Calculated PXRD pattern
Compound: NaEu2Ag
Radiation: Cu Ka
Structure: a GGA-PBE-relaxed structure
Neutral-atom scattering factors, no anomalous dispersion.

Atomic structure:
```
NaEu2Ag
1.0
0.0000 3.9998 3.9998
3.9998 0.0000 3.9998
3.9998 3.9998 0.0000
Na Eu Ag
1 2 1
Direct
0.0000 0.0000 0.0000
0.2500 0.2500 0.2500
0.7500 0.7500 0.7500
0.5000 0.5000 0.5000
```

Largest 6 diffraction maxima, by angle, 2θ from 15° to 90°:
2theta  Rel. int.
22.2  17
31.6  100
45.3  18
56.3  38
66.1  12
75.1  16

***

Calculated PXRD pattern
Compound: NaEu3Ag
Radiation: Cu Ka
Structure: a GGA-PBE-relaxed structure
Neutral-atom scattering factors, no anomalous dispersion.

Atomic structure:
```
NaEu3Ag
1.0
6.0546 0.0000 0.0000
0.0000 6.0546 0.0000
0.0000 0.0000 6.0546
Na Eu Ag
1 3 1
Direct
0.0000 0.0000 0.0000
0.0000 0.5000 0.5000
0.5000 0.0000 0.5000
0.5000 0.5000 0.0000
0.5000 0.5000 0.5000
```

Largest 6 diffraction maxima, by angle, 2θ from 15° to 90°:
2theta  Rel. int.
25.5  74
29.5  100
33.1  49
42.2  75
50.0  36
69.4  34